The following is a simulated powder XRD pattern of PaOsNO. It was derived from the PBE geometry in OQMD, using Cu Kα.
No peak broadening, texture or thermal motion is included.

Peak list (12 most intense, 10° ≤ 2θ ≤ 80°, in order of rising 2θ)
- hkl 0 1 0, 8.115 Å, 10.9°, I 26
- hkl 1 1 1, 3.418 Å, 26.1°, I 100
- hkl 2 0 0, 2.811 Å, 31.8°, I 21
- hkl 1 2 1, 2.761 Å, 32.4°, I 59
- hkl 0 3 0, 2.705 Å, 33.1°, I 54
- hkl 2 0 1, 2.459 Å, 36.5°, I 18
- hkl 0 1 2, 2.424 Å, 37.1°, I 41
- hkl 2 1 1, 2.354 Å, 38.2°, I 35
- hkl 0 2 2, 2.153 Å, 42.0°, I 43
- hkl 2 2 1, 2.103 Å, 43.0°, I 27
- hkl 2 3 0, 1.949 Å, 46.6°, I 18
- hkl 1 4 1, 1.786 Å, 51.1°, I 21

Cell and atoms:
```
data_PaOsNO
_cell_length_a 5.621
_cell_length_b 8.115
_cell_length_c 5.080
_cell_angle_alpha 90.00
_cell_angle_beta 90.00
_cell_angle_gamma 90.00
_space_group_name_H-M_alt 'P 1'
_space_group_IT_number 1
loop_
_space_group_symop_operation_xyz
'x,y,z'
loop_
_atom_site_label
_atom_site_fract_x
_atom_site_fract_y
_atom_site_fract_z
_atom_site_occupancy
Pa1 0.015 0.173 0.000 1
Pa2 0.485 0.173 0.500 1
Pa3 0.515 0.827 0.000 1
Pa4 0.985 0.827 0.500 1
Os1 0.118 0.492 0.731 1
Os2 0.382 0.492 0.231 1
Os3 0.618 0.508 0.731 1
Os4 0.882 0.508 0.231 1
N1 0.114 0.339 0.388 1
N2 0.386 0.339 0.888 1
N3 0.614 0.661 0.388 1
N4 0.886 0.661 0.888 1
O1 0.248 0.985 0.738 1
O2 0.252 0.985 0.238 1
O3 0.748 0.015 0.738 1
O4 0.752 0.015 0.238 1
```